# Ba2CaPd3O6
Calculated XRD peak list, CuKα. Input: a GGA-PBE-relaxed structure.

Structural model:
Unit cell a=9.5679 b=8.8139 c=7.3135 alpha=72.10 beta=61.23 gamma=46.67
Atoms (fractional coordinates):
Ba  0.2328  0.7672  0.2328
Ba  0.2500  0.2500  0.2500
Ba  0.7500  0.7500  0.7500
Ba  0.7672  0.2328  0.7672
Ca  0.3290  0.3290  0.6710
Ca  0.6710  0.6710  0.3290
Pd  0.0069  0.6900  0.9931
Pd  0.3100  0.9931  0.6900
Pd  0.3266  0.6734  0.6734
Pd  0.6734  0.3266  0.3266
Pd  0.6900  0.0069  0.3100
Pd  0.9931  0.3100  0.0069
O  0.0772  0.3122  0.6878
O  0.0945  0.7020  0.6716
O  0.2980  0.9055  0.4682
O  0.3122  0.0772  0.9228
O  0.3284  0.4682  0.9055
O  0.4682  0.3284  0.2980
O  0.5318  0.6716  0.7020
O  0.6716  0.5318  0.0945
O  0.6878  0.9228  0.0772
O  0.7020  0.0945  0.5318
O  0.9055  0.2980  0.3284
O  0.9228  0.6878  0.3122

The 8 most intense peaks (10° ≤ 2θ ≤ 90°), low angle first:
- 27.85 deg, d = 3.203 Å, intensity 100
- 28.05 deg, d = 3.181 Å, intensity 57
- 30.80 deg, d = 2.903 Å, intensity 67
- 35.91 deg, d = 2.501 Å, intensity 55
- 38.92 deg, d = 2.314 Å, intensity 30
- 42.32 deg, d = 2.136 Å, intensity 36
- 43.96 deg, d = 2.060 Å, intensity 34
- 53.26 deg, d = 1.720 Å, intensity 33



# BaCa2PtO4
Calculated XRD peak list, CuKα. Input: a GGA-PBE-relaxed structure.

Structural model:
Unit cell a=6.3924 b=6.3924 c=11.9901 alpha=90.00 beta=90.00 gamma=148.31
Atoms (fractional coordinates):
Ba  0.1208  0.8792  0.7500
Ba  0.8792  0.1208  0.2500
Ca  0.3728  0.6272  0.5432
Ca  0.3728  0.6272  0.9568
Ca  0.6272  0.3728  0.0432
Ca  0.6272  0.3728  0.4568
Pt  0.1438  0.8562  0.2500
Pt  0.8562  0.1438  0.7500
O  0.0000  0.0000  0.0000
O  0.0000  0.0000  0.5000
O  0.2641  0.7359  0.1151
O  0.2641  0.7359  0.3849
O  0.4550  0.5450  0.7500
O  0.5450  0.4550  0.2500
O  0.7359  0.2641  0.6151
O  0.7359  0.2641  0.8849

The 8 most intense peaks (10° ≤ 2θ ≤ 90°), low angle first:
- 14.78 deg, d = 5.995 Å, intensity 100
- 29.04 deg, d = 3.075 Å, intensity 38
- 29.81 deg, d = 2.998 Å, intensity 43
- 30.51 deg, d = 2.930 Å, intensity 66
- 32.73 deg, d = 2.736 Å, intensity 30
- 37.00 deg, d = 2.430 Å, intensity 86
- 40.34 deg, d = 2.236 Å, intensity 27
- 42.10 deg, d = 2.146 Å, intensity 31



# BaCaRe2O8
Calculated XRD peak list, CuKα. Input: a GGA-PBE-relaxed structure.

Structural model:
Unit cell a=5.9743 b=5.9743 c=7.6551 alpha=90.00 beta=90.00 gamma=120.00
Atoms (fractional coordinates):
Ba  0.0000  0.0000  0.0000
Ca  0.0000  0.0000  0.5000
Re  0.3333  0.6667  0.7764
Re  0.6667  0.3333  0.2236
O  0.1666  0.3332  0.7062
O  0.1666  0.8334  0.7062
O  0.3332  0.1666  0.2938
O  0.3333  0.6667  0.0104
O  0.6667  0.3333  0.9896
O  0.6668  0.8334  0.7062
O  0.8334  0.1666  0.2938
O  0.8334  0.6668  0.2938

The 8 most intense peaks (10° ≤ 2θ ≤ 90°), low angle first:
- 20.72 deg, d = 4.287 Å, intensity 100
- 29.02 deg, d = 3.077 Å, intensity 40
- 29.91 deg, d = 2.987 Å, intensity 50
- 39.37 deg, d = 2.289 Å, intensity 20
- 42.16 deg, d = 2.143 Å, intensity 21
- 48.02 deg, d = 1.895 Å, intensity 22
- 52.55 deg, d = 1.741 Å, intensity 16
- 57.16 deg, d = 1.611 Å, intensity 13



# Ba3CaRu2O9
Calculated XRD peak list, CuKα. Input: a GGA-PBE-relaxed structure.

Structural model:
Unit cell a=5.9734 b=5.9734 c=14.9156 alpha=90.00 beta=90.00 gamma=120.00
Atoms (fractional coordinates):
Ba  0.0000  0.0000  0.2500
Ba  0.0000  0.0000  0.7500
Ba  0.3333  0.6667  0.0994
Ba  0.3333  0.6667  0.4006
Ba  0.6667  0.3333  0.5994
Ba  0.6667  0.3333  0.9006
Ca  0.0000  0.0000  0.0000
Ca  0.0000  0.0000  0.5000
Ru  0.3333  0.6667  0.6573
Ru  0.3333  0.6667  0.8427
Ru  0.6667  0.3333  0.1573
Ru  0.6667  0.3333  0.3427
O  0.0320  0.5168  0.7500
O  0.1750  0.3522  0.5906
O  0.1750  0.3522  0.9094
O  0.1772  0.8250  0.5906
O  0.1772  0.8250  0.9094
O  0.3522  0.1750  0.0906
O  0.3522  0.1750  0.4094
O  0.4832  0.5152  0.7500
O  0.4848  0.9680  0.7500
O  0.5152  0.4832  0.2500
O  0.5168  0.0320  0.2500
O  0.6478  0.8228  0.5906
O  0.6478  0.8228  0.9094
O  0.8228  0.6478  0.0906
O  0.8228  0.6478  0.4094
O  0.8250  0.1772  0.0906
O  0.8250  0.1772  0.4094
O  0.9680  0.4848  0.2500

The 8 most intense peaks (10° ≤ 2θ ≤ 90°), low angle first:
- 24.84 deg, d = 3.585 Å, intensity 23
- 29.53 deg, d = 3.025 Å, intensity 62
- 29.92 deg, d = 2.987 Å, intensity 100
- 39.26 deg, d = 2.295 Å, intensity 19
- 42.54 deg, d = 2.125 Å, intensity 38
- 52.87 deg, d = 1.732 Å, intensity 23
- 53.11 deg, d = 1.724 Å, intensity 20
- 62.16 deg, d = 1.493 Å, intensity 19



# BaCa2RuO5
Calculated XRD peak list, CuKα. Input: a GGA-PBE-relaxed structure.

Structural model:
Unit cell a=6.6806 b=6.6806 c=6.6806 alpha=146.57 beta=127.76 gamma=63.46
Atoms (fractional coordinates):
Ba  0.0000  0.0000  0.0000
Ca  0.2864  0.7864  0.5000
Ca  0.7136  0.2136  0.5000
Ru  0.5000  0.5000  0.0000
O  0.1293  0.3651  0.7642
O  0.3991  0.6349  0.7642
O  0.5000  0.0000  0.5000
O  0.6009  0.3651  0.2358
O  0.8707  0.6349  0.2358

The 8 most intense peaks (10° ≤ 2θ ≤ 90°), low angle first:
- 15.60 deg, d = 5.682 Å, intensity 45
- 27.73 deg, d = 3.217 Å, intensity 16
- 30.39 deg, d = 2.941 Å, intensity 24
- 31.49 deg, d = 2.841 Å, intensity 17
- 31.97 deg, d = 2.800 Å, intensity 100
- 34.33 deg, d = 2.612 Å, intensity 16
- 44.33 deg, d = 2.043 Å, intensity 30
- 55.00 deg, d = 1.670 Å, intensity 21



# Ba12SrCa3Ru8O36
Calculated XRD peak list, CuKα. Input: a GGA-PBE-relaxed structure.

Structural model:
Unit cell a=5.9762 b=5.9762 c=30.3221 alpha=90.00 beta=90.00 gamma=120.00
Atoms (fractional coordinates):
Ba  0.0000  0.0000  0.1230
Ba  0.0000  0.0000  0.3688
Ba  0.0000  0.0000  0.6312
Ba  0.0000  0.0000  0.8770
Ba  0.3333  0.6667  0.2931
Ba  0.3333  0.6667  0.4354
Ba  0.3333  0.6667  0.8025
Ba  0.3333  0.6667  0.9510
Ba  0.6667  0.3333  0.0490
Ba  0.6667  0.3333  0.1975
Ba  0.6667  0.3333  0.5646
Ba  0.6667  0.3333  0.7069
Sr  0.0000  0.0000  0.5000
Ca  0.0000  0.0000  0.0000
Ca  0.0000  0.0000  0.2460
Ca  0.0000  0.0000  0.7540
Ru  0.3333  0.6667  0.0773
Ru  0.3333  0.6667  0.1685
Ru  0.3333  0.6667  0.5848
Ru  0.3333  0.6667  0.6767
Ru  0.6667  0.3333  0.3233
Ru  0.6667  0.3333  0.4152
Ru  0.6667  0.3333  0.8315
Ru  0.6667  0.3333  0.9227
O  0.0310  0.5155  0.6316
O  0.0321  0.5161  0.1230
O  0.1750  0.3501  0.5534
O  0.1750  0.8250  0.5534
O  0.1761  0.3521  0.0446
O  0.1763  0.3526  0.2015
O  0.1761  0.8239  0.0446
O  0.1763  0.8237  0.2015
O  0.1766  0.3532  0.7099
O  0.1766  0.8234  0.7099
O  0.3501  0.1750  0.4466
O  0.3521  0.1761  0.9554
O  0.3526  0.1763  0.7985
O  0.3532  0.1766  0.2901
O  0.4839  0.5161  0.1230
O  0.4845  0.5155  0.6316
O  0.4839  0.9679  0.1230
O  0.4845  0.9690  0.6316
O  0.5155  0.0310  0.3684
O  0.5161  0.0321  0.8770
O  0.5155  0.4845  0.3684
O  0.5161  0.4839  0.8770
O  0.6468  0.8234  0.7099
O  0.6474  0.8237  0.2015
O  0.6479  0.8239  0.0446
O  0.6499  0.8250  0.5534
O  0.8234  0.1766  0.2901
O  0.8234  0.6468  0.2901
O  0.8237  0.1763  0.7985
O  0.8239  0.1761  0.9554
O  0.8237  0.6474  0.7985
O  0.8239  0.6479  0.9554
O  0.8250  0.1750  0.4466
O  0.8250  0.6499  0.4466
O  0.9679  0.4839  0.8770
O  0.9690  0.4845  0.3684

The 8 most intense peaks (10° ≤ 2θ ≤ 90°), low angle first:
- 24.62 deg, d = 3.616 Å, intensity 20
- 29.20 deg, d = 3.058 Å, intensity 64
- 29.90 deg, d = 2.988 Å, intensity 100
- 39.11 deg, d = 2.303 Å, intensity 18
- 42.29 deg, d = 2.137 Å, intensity 39
- 52.65 deg, d = 1.738 Å, intensity 23
- 53.09 deg, d = 1.725 Å, intensity 20
- 62.13 deg, d = 1.494 Å, intensity 19



# BaCaS2O8
Calculated XRD peak list, CuKα. Input: a GGA-PBE-relaxed structure.

Structural model:
Unit cell a=5.3772 b=5.3772 c=7.8944 alpha=90.00 beta=90.00 gamma=120.00
Atoms (fractional coordinates):
Ba  0.0000  0.0000  0.0000
Ca  0.0000  0.0000  0.5000
S  0.3333  0.6667  0.7642
S  0.6667  0.3333  0.2358
O  0.1809  0.3648  0.7018
O  0.1839  0.8191  0.7018
O  0.3333  0.6667  0.9523
O  0.3648  0.1839  0.2982
O  0.6352  0.8161  0.7018
O  0.6667  0.3333  0.0477
O  0.8161  0.1809  0.2982
O  0.8191  0.6352  0.2982

The 8 most intense peaks (10° ≤ 2θ ≤ 90°), low angle first:
- 11.21 deg, d = 7.894 Å, intensity 41
- 19.06 deg, d = 4.657 Å, intensity 67
- 22.16 deg, d = 4.011 Å, intensity 93
- 29.67 deg, d = 3.011 Å, intensity 100
- 33.33 deg, d = 2.689 Å, intensity 61
- 35.26 deg, d = 2.545 Å, intensity 33
- 40.60 deg, d = 2.222 Å, intensity 30
- 45.21 deg, d = 2.005 Å, intensity 49



# Ba3CaSb2O9
Calculated XRD peak list, CuKα. Input: a GGA-PBE-relaxed structure.

Structural model:
Unit cell a=6.0850 b=6.0850 c=15.0779 alpha=91.15 beta=91.15 gamma=119.77
Atoms (fractional coordinates):
Ba  0.0080  0.9920  0.7500
Ba  0.3237  0.6578  0.4092
Ba  0.3422  0.6763  0.0908
Ba  0.6578  0.3237  0.9092
Ba  0.6763  0.3422  0.5908
Ba  0.9920  0.0080  0.2500
Ca  0.0000  0.0000  0.0000
Ca  0.0000  0.0000  0.5000
Sb  0.3122  0.6443  0.8456
Sb  0.3557  0.6878  0.6544
Sb  0.6443  0.3122  0.3456
Sb  0.6878  0.3557  0.1544
O  0.0466  0.5218  0.7354
O  0.1233  0.7786  0.9086
O  0.1298  0.3075  0.8955
O  0.2199  0.3982  0.5700
O  0.2214  0.8767  0.5914
O  0.3075  0.1298  0.3955
O  0.3982  0.2199  0.0700
O  0.4782  0.9534  0.7646
O  0.4804  0.5196  0.7500
O  0.5196  0.4804  0.2500
O  0.5218  0.0466  0.2354
O  0.6018  0.7801  0.9300
O  0.6925  0.8702  0.6045
O  0.7786  0.1233  0.4086
O  0.7801  0.6018  0.4300
O  0.8702  0.6925  0.1045
O  0.8767  0.2214  0.0914
O  0.9534  0.4782  0.2646

The 8 most intense peaks (10° ≤ 2θ ≤ 90°), low angle first:
- 28.63 deg, d = 3.118 Å, intensity 21
- 29.15 deg, d = 3.063 Å, intensity 19
- 29.33 deg, d = 3.045 Å, intensity 100
- 29.61 deg, d = 3.017 Å, intensity 15
- 41.87 deg, d = 2.157 Å, intensity 11
- 42.50 deg, d = 2.127 Å, intensity 11
- 51.97 deg, d = 1.760 Å, intensity 13
- 60.91 deg, d = 1.521 Å, intensity 12